# 1
For Sr3LaRh8, DFT lattice parameters and positions (PBE) gives the calculated powder diffractogram in this record (Cu Ka).
Intensities are scaled so that the largest is 100.

Peak list (10 most intense, 10° ≤ 2θ ≤ 80°, by angle)
2theta  I (rel.)
19.85  11
32.69  34
38.53  100
38.59  33
40.23  14
40.36  42
62.18  11
62.30  32
68.42  18
68.61  18

Structural model:
Cell lengths 9.5074, 9.5074, 9.5074 Å; angles 33.45, 33.45, 33.45 degrees
Fractional coordinates of all 12 atoms:
Sr: 0.0000 0.0000 0.0000
Sr: 0.1238 0.1238 0.1238
Sr: 0.4971 0.4971 0.4971
La: 0.6233 0.6233 0.6233
Rh: 0.0580 0.5610 0.5610
Rh: 0.0613 0.0613 0.5635
Rh: 0.0613 0.5635 0.0613
Rh: 0.3111 0.3111 0.3111
Rh: 0.5610 0.0580 0.5610
Rh: 0.5610 0.5610 0.0580
Rh: 0.5635 0.0613 0.0613
Rh: 0.8111 0.8111 0.8111

# 2
For La4TaRh, DFT lattice parameters and positions (PBE) gives the calculated powder diffractogram in this record (Cu Ka).
Intensities are scaled so that the largest is 100.

Peak list (10 most intense, 10° ≤ 2θ ≤ 80°, by angle)
2theta  I (rel.)
17.55  6
28.85  27
33.96  100
35.52  39
51.12  11
54.46  35
59.76  30
67.69  5
70.55  12
71.49  15

Structural model:
Cell lengths 6.1901, 6.1901, 6.1901 Å; angles 60.00, 60.00, 60.00 degrees
Fractional coordinates of all 6 atoms:
La: 0.1246 0.1246 0.1246
La: 0.1246 0.1246 0.6262
La: 0.1246 0.6262 0.1246
La: 0.6262 0.1246 0.1246
Ta: 0.5000 0.5000 0.5000
Rh: 0.7500 0.7500 0.7500

# 3
For La6TbRh4, DFT lattice parameters and positions (PBE) gives the calculated powder diffractogram in this record (Cu Ka).
Intensities are scaled so that the largest is 100.

Peak list (10 most intense, 10° ≤ 2θ ≤ 80°, by angle)
2theta  I (rel.)
28.30  28
28.77  38
29.67  100
31.57  33
32.13  98
34.12  36
35.39  34
36.61  26
40.03  26
49.58  26

Structural model:
Cell lengths 6.2622, 6.4608, 8.4072 Å; angles 101.70, 105.42, 105.58 degrees
Fractional coordinates of all 11 atoms:
La: 0.0000 0.0000 0.0000
La: 0.0226 0.2121 0.4338
La: 0.2327 0.5443 0.9044
La: 0.4275 0.8550 0.3888
La: 0.6581 0.5187 0.6164
La: 0.7926 0.5511 0.2070
Tb: 0.4580 0.0786 0.8155
Rh: 0.0600 0.7601 0.5623
Rh: 0.3978 0.3042 0.2649
Rh: 0.5903 0.9702 0.1240
Rh: 0.8589 0.0932 0.6956

# 4
For La2TbRh2, DFT lattice parameters and positions (PBE) gives the calculated powder diffractogram in this record (Cu Ka).
Intensities are scaled so that the largest is 100.

Peak list (10 most intense, 10° ≤ 2θ ≤ 80°, by angle)
2theta  I (rel.)
26.20  30
27.48  44
30.15  42
31.39  100
31.72  42
33.71  74
34.52  29
42.20  31
44.07  23
46.73  59

Structural model:
Cell lengths 9.2818, 5.7005, 10.3929 Å; angles 90.00, 90.00, 90.00 degrees
Fractional coordinates of all 20 atoms:
La: 0.0376 0.2500 0.1535
La: 0.1215 0.2500 0.5576
La: 0.3785 0.7500 0.0576
La: 0.4624 0.7500 0.6535
La: 0.5376 0.2500 0.3465
La: 0.6215 0.2500 0.9424
La: 0.8785 0.7500 0.4424
La: 0.9624 0.7500 0.8465
Tb: 0.2474 0.2500 0.8555
Tb: 0.2526 0.7500 0.3555
Tb: 0.7474 0.2500 0.6445
Tb: 0.7526 0.7500 0.1445
Rh: 0.0522 0.7500 0.1529
Rh: 0.1425 0.7500 0.5993
Rh: 0.3575 0.2500 0.0993
Rh: 0.4478 0.2500 0.6529
Rh: 0.5522 0.7500 0.3471
Rh: 0.6425 0.7500 0.9007
Rh: 0.8575 0.2500 0.4007
Rh: 0.9478 0.2500 0.8471